No. 1
Tl6SiAu8: computed X-ray powder pattern (Cu Kα), based on a crystal structure in Alexandria, relaxed with GGA-PBE.
No peak broadening, texture or thermal motion is included.

Cell and atoms:
```
Tl6SiAu8
1.0
4.295 2.480 5.380
-4.295 2.480 5.380
0.000 -4.960 5.380
Tl Si Au
6 1 8
direct
0.169 0.439 0.623
0.377 0.831 0.561
0.439 0.623 0.169
0.561 0.377 0.831
0.623 0.169 0.439
0.831 0.561 0.377
0.000 0.000 0.000
0.020 0.888 0.359
0.112 0.641 0.980
0.222 0.222 0.222
0.359 0.020 0.888
0.641 0.980 0.112
0.778 0.778 0.778
0.888 0.359 0.020
0.980 0.112 0.641
```

Peak list (10 most intense, 2θ = 10–90°, sorted by position)
Position (°2θ)	I (rel.)
33.31	32
33.75	100
39.04	66
39.53	5
56.11	19
56.70	20
66.84	9
67.37	19
67.66	14
70.99	9

No. 2
TlSiAu: computed X-ray powder pattern (Cu Kα), based on a crystal structure in Alexandria, relaxed with GGA-PBE.
No peak broadening, texture or thermal motion is included.

Cell and atoms:
```
TlSiAu
1.0
4.413 0.000 0.000
1.951 4.819 0.000
0.146 0.951 6.852
Tl Si Au
2 2 2
direct
0.154 0.230 0.349
0.846 0.770 0.651
0.401 0.714 0.066
0.599 0.286 0.934
0.164 0.149 0.813
0.836 0.851 0.187
```

Peak list (10 most intense, 2θ = 10–90°, sorted by position)
Position (°2θ)	I (rel.)
18.59	47
21.74	65
22.70	65
29.94	41
33.31	80
33.58	92
33.81	79
34.25	100
35.73	56
40.98	70

No. 3
TlSiAu: computed X-ray powder pattern (Cu Kα), based on a crystal structure in Alexandria, relaxed with GGA-PBE.
No peak broadening, texture or thermal motion is included.

Cell and atoms:
```
TlSiAu
1.0
4.136 0.000 0.000
0.005 4.534 0.000
0.009 0.423 7.418
Tl Si Au
2 2 2
direct
0.000 0.000 0.000
0.500 0.495 0.762
0.000 0.419 0.346
0.000 0.823 0.536
0.500 0.091 0.439
0.500 0.588 0.167
```

Peak list (10 most intense, 2θ = 10–90°, sorted by position)
Position (°2θ)	I (rel.)
21.49	29
29.25	38
30.27	76
31.25	31
32.11	100
32.42	26
39.83	23
42.61	49
43.78	31
54.15	34

No. 4
Tm2Si7Au12: computed X-ray powder pattern (Cu Kα), based on a crystal structure in Alexandria, relaxed with GGA-PBE.
No peak broadening, texture or thermal motion is included.

Cell and atoms:
```
Tm2Si7Au12
1.0
10.217 0.000 0.000
-5.108 8.848 0.000
0.000 0.000 4.275
Tm Si Au
2 7 12
direct
0.333 0.667 0.254
0.667 0.333 0.746
0.000 0.000 0.000
0.113 0.396 0.779
0.283 0.887 0.779
0.396 0.283 0.221
0.604 0.717 0.779
0.717 0.113 0.221
0.887 0.604 0.221
0.083 0.615 0.742
0.126 0.859 0.281
0.141 0.267 0.281
0.267 0.126 0.719
0.385 0.468 0.742
0.468 0.083 0.258
0.532 0.917 0.742
0.615 0.532 0.258
0.733 0.874 0.281
0.859 0.733 0.719
0.874 0.141 0.719
0.917 0.385 0.258
```

Peak list (10 most intense, 2θ = 10–90°, sorted by position)
Position (°2θ)	I (rel.)
26.66	17
34.04	100
35.13	8
42.28	16
44.64	12
47.07	13
65.10	10
69.95	9
72.04	11
78.99	8

No. 5
Tm3Si4Au7: computed X-ray powder pattern (Cu Kα), based on a crystal structure in Alexandria, relaxed with GGA-PBE.
No peak broadening, texture or thermal motion is included.

Cell and atoms:
```
Tm3Si4Au7
1.0
7.920 -2.143 0.000
7.920 2.143 0.000
-5.534 0.000 7.704
Tm Si Au
3 4 7
direct
0.000 0.000 0.000
0.314 0.314 0.316
0.686 0.686 0.684
0.119 0.119 0.837
0.336 0.336 0.724
0.664 0.664 0.276
0.881 0.881 0.163
0.000 0.000 0.500
0.158 0.158 0.413
0.315 0.315 0.961
0.495 0.495 0.711
0.505 0.505 0.289
0.685 0.685 0.039
0.842 0.842 0.587
```

Peak list (10 most intense, 2θ = 10–90°, sorted by position)
Position (°2θ)	I (rel.)
26.80	18
29.01	33
34.92	100
35.34	72
36.03	19
38.24	31
40.87	17
42.16	82
45.05	19
61.14	26

No. 6
U2Si3Au3: computed X-ray powder pattern (Cu Kα), based on a crystal structure in Alexandria, relaxed with GGA-PBE.
No peak broadening, texture or thermal motion is included.

Cell and atoms:
```
U2Si3Au3
1.0
2.692 0.000 0.000
0.000 2.692 0.000
0.000 0.000 21.730
U Si Au
2 3 3
direct
0.000 0.000 0.241
0.000 0.000 0.759
0.000 0.000 0.114
0.000 0.000 0.500
0.000 0.000 0.886
0.000 0.000 0.000
0.000 0.000 0.381
0.000 0.000 0.619
```

Peak list (10 most intense, 2θ = 10–90°, sorted by position)
Position (°2θ)	I (rel.)
12.22	36
20.43	40
32.98	45
33.28	100
39.37	32
47.55	66
47.77	37
59.27	35
79.63	19
88.91	25

No. 7
Y2Si7Au12: computed X-ray powder pattern (Cu Kα), based on a crystal structure in Alexandria, relaxed with GGA-PBE.
No peak broadening, texture or thermal motion is included.

Cell and atoms:
```
Y2Si7Au12
1.0
10.146 0.000 0.000
-5.073 8.787 0.000
0.000 0.000 4.351
Y Si Au
2 7 12
direct
0.333 0.667 0.257
0.667 0.333 0.743
0.000 0.000 0.000
0.114 0.397 0.782
0.283 0.886 0.782
0.397 0.283 0.218
0.603 0.717 0.782
0.717 0.114 0.218
0.886 0.603 0.218
0.076 0.614 0.744
0.126 0.859 0.284
0.141 0.267 0.284
0.267 0.126 0.716
0.386 0.462 0.744
0.462 0.076 0.256
0.538 0.924 0.744
0.614 0.538 0.256
0.733 0.874 0.284
0.859 0.733 0.716
0.874 0.141 0.716
0.924 0.386 0.256
```

Peak list (10 most intense, 2θ = 10–90°, sorted by position)
Position (°2θ)	I (rel.)
26.85	17
33.96	100
41.51	18
42.52	12
44.97	18
47.42	13
62.85	11
70.31	12
70.90	11
79.47	10

No. 8
Y2Si3Au2: computed X-ray powder pattern (Cu Kα), based on a crystal structure in Alexandria, relaxed with GGA-PBE.
No peak broadening, texture or thermal motion is included.

Cell and atoms:
```
Y2Si3Au2
1.0
2.145 -9.064 0.000
2.145 9.064 0.000
0.000 0.000 6.952
Y Si Au
4 6 4
direct
0.051 0.949 0.750
0.152 0.848 0.250
0.848 0.152 0.750
0.949 0.051 0.250
0.223 0.777 0.750
0.444 0.556 0.578
0.444 0.556 0.922
0.556 0.444 0.078
0.556 0.444 0.422
0.777 0.223 0.250
0.315 0.685 0.049
0.315 0.685 0.451
0.685 0.315 0.549
0.685 0.315 0.951
```

Peak list (10 most intense, 2θ = 10–90°, sorted by position)
Position (°2θ)	I (rel.)
25.46	94
32.32	86
33.55	100
34.87	78
36.44	100
39.78	42
41.70	56
42.12	64
43.88	63
62.45	44

No. 9
Y5Si2Au2: computed X-ray powder pattern (Cu Kα), based on a crystal structure in Alexandria, relaxed with GGA-PBE.
No peak broadening, texture or thermal motion is included.

Cell and atoms:
```
Y5Si2Au2
1.0
7.750 -3.760 0.000
7.750 3.760 0.000
0.000 0.000 7.513
Y Si Au
10 4 4
direct
0.000 0.000 0.000
0.045 0.688 0.672
0.188 0.545 0.172
0.312 0.955 0.672
0.455 0.812 0.172
0.500 0.500 0.500
0.545 0.188 0.828
0.688 0.045 0.328
0.812 0.455 0.828
0.955 0.312 0.328
0.119 0.881 0.379
0.381 0.619 0.879
0.619 0.381 0.121
0.881 0.119 0.621
0.208 0.208 0.000
0.292 0.292 0.500
0.708 0.708 0.500
0.792 0.792 0.000
```

Peak list (10 most intense, 2θ = 10–90°, sorted by position)
Position (°2θ)	I (rel.)
11.42	57
23.68	34
26.36	35
33.21	100
33.47	90
33.73	72
38.31	58
41.84	37
48.25	50
54.62	32

No. 10
YbSiAu: computed X-ray powder pattern (Cu Kα), based on a crystal structure in Alexandria, relaxed with GGA-PBE.
No peak broadening, texture or thermal motion is included.

Cell and atoms:
```
YbSiAu
1.0
-2.221 3.554 3.812
2.221 -3.554 3.812
2.221 3.554 -3.812
Yb Si Au
2 2 2
direct
0.000 0.000 0.000
0.575 0.075 0.500
0.023 0.704 0.319
0.384 0.704 0.681
0.152 0.373 0.779
0.594 0.373 0.221
```

Peak list (10 most intense, 2θ = 10–90°, sorted by position)
Position (°2θ)	I (rel.)
23.18	33
23.33	17
33.44	16
34.39	100
34.50	44
40.62	27
40.91	42
54.33	25
67.71	12
69.93	13

No. 11
YbSiAu: computed X-ray powder pattern (Cu Kα), based on a crystal structure in Alexandria, relaxed with GGA-PBE.
No peak broadening, texture or thermal motion is included.

Cell and atoms:
```
YbSiAu
1.0
4.400 0.000 0.000
-2.200 3.811 0.000
0.000 0.000 3.677
Yb Si Au
1 1 1
direct
0.000 0.000 0.000
0.667 0.333 0.500
0.333 0.667 0.500
```

Peak list (10 most intense, 2θ = 10–90°, sorted by position)
Position (°2θ)	I (rel.)
23.34	30
33.88	100
41.02	46
49.59	9
54.22	27
55.50	6
66.25	23
70.18	25
74.73	8
82.71	8

No. 12
ZnSi4Au: computed X-ray powder pattern (Cu Kα), based on a crystal structure in Alexandria, relaxed with GGA-PBE.
No peak broadening, texture or thermal motion is included.

Cell and atoms:
```
ZnSi4Au
1.0
0.000 3.655 3.655
3.655 0.000 3.655
3.655 3.655 0.000
Zn Si Au
1 4 1
direct
0.000 0.000 0.000
0.374 0.374 0.374
0.374 0.374 0.877
0.374 0.877 0.374
0.877 0.374 0.374
0.750 0.750 0.750
```

Peak list (10 most intense, 2θ = 10–90°, sorted by position)
Position (°2θ)	I (rel.)
21.05	63
24.35	22
34.71	83
40.94	100
54.73	17
62.21	30
66.45	32
73.25	19
77.20	12
83.66	14

No. 13
ZnSiAu6: computed X-ray powder pattern (Cu Kα), based on a crystal structure in Alexandria, relaxed with GGA-PBE.
No peak broadening, texture or thermal motion is included.

Cell and atoms:
```
ZnSiAu6
1.0
5.393 0.000 0.000
1.676 5.213 0.000
1.505 1.770 5.223
Zn Si Au
1 1 6
direct
0.000 0.000 0.000
0.500 0.500 0.500
0.010 0.747 0.497
0.262 0.517 0.946
0.485 0.021 0.745
0.515 0.979 0.255
0.738 0.483 0.054
0.990 0.253 0.503
```

Peak list (10 most intense, 2θ = 10–90°, sorted by position)
Position (°2θ)	I (rel.)
26.50	26
33.26	33
34.33	21
34.86	50
35.94	100
36.62	38
36.77	34
42.49	16
43.82	18
44.60	34